Computed powder XRD pattern
Compound: SrFe2P4O14
Radiation: Cu Ka
Structure: DFT lattice parameters and positions (GGA+U)
No peak broadening, texture or thermal motion is included.

Structural model:
```
data_SrFe2P4O14
_chemical_formula_sum 'Sr1 Fe2 P4 O14'
_space_group_name_H-M_alt 'P -1'
_space_group_IT_number 2
_space_group_name_Hall '-P 1'
_cell_length_a 4.8347
_cell_length_b 7.0976
_cell_length_c 7.9119
_cell_angle_alpha 89.59
_cell_angle_beta 86.88
_cell_angle_gamma 73.63
loop_
_atom_site_label
_atom_site_type_symbol
_atom_site_fract_x
_atom_site_fract_y
_atom_site_fract_z
_atom_site_occupancy
Sr1 Sr 0.0000 0.0000 0.0000 1
Fe1 Fe 0.0000 0.0000 0.5000 1
Fe2 Fe 0.5000 0.5000 0.0000 1
P1 P 0.0238 0.3805 0.2504 1
P2 P 0.3877 0.2272 0.6961 1
O1 O 0.0987 0.1912 0.3494 1
O2 O 0.1272 0.6517 0.9108 1
O3 O 0.1788 0.0970 0.7013 1
O4 O 0.2043 0.4472 0.6436 1
O5 O 0.2934 0.4440 0.2064 1
O6 O 0.3709 0.8200 0.4400 1
O7 O 0.4850 0.2359 0.8800 1
```

Peak list (10 most intense, 5 to 70 degrees two-theta, in order of falling intensity)
- 29.5 deg, I 100
- 26.2 deg, I 72
- 23.4 deg, I 71
- 30.9 deg, I 52
- 38.9 deg, I 43
- 28.0 deg, I 42
- 28.6 deg, I 41
- 26.0 deg, I 37
- 19.2 deg, I 28
- 17.1 deg, I 28